This entry pairs a crystal structure of CaPm3Hg5 with its theoretical X-ray powder pattern. Radiation: Cu Kα. Structure: DFT lattice parameters and positions (PBE).
Kinematic intensities with the Lorentz-polarization factor, no thermal factor.

Peak list (12 most intense, 2θ = 15–90°, sorted by position)
| 2θ/deg | I (rel.) |
| --- | --- |
| 26.97 | 11 |
| 32.50 | 21 |
| 33.30 | 97 |
| 33.53 | 100 |
| 43.54 | 12 |
| 47.98 | 31 |
| 55.60 | 9 |
| 59.80 | 28 |
| 59.95 | 13 |
| 66.49 | 36 |
| 80.20 | 10 |
| 86.22 | 11 |

Cell and atoms:
```
data_CaPm3Hg5
_chemical_formula_sum 'Ca2 Pm6 Hg10'
_cell_length_a 9.2581
_cell_length_b 9.2581
_cell_length_c 6.6124
_cell_angle_alpha 90.00
_cell_angle_beta 90.00
_cell_angle_gamma 120.00
_space_group_name_H-M_alt 'P 63/m c m'
_space_group_IT_number 193
_space_group_name_Hall '-P 6c 2'
loop_
_atom_site_label
_atom_site_type_symbol
_atom_site_fract_x
_atom_site_fract_y
_atom_site_fract_z
Ca1 Ca 0.0000 0.0000 0.0000
Pm1 Pm 0.0000 0.3651 0.2500
Hg1 Hg 0.0000 0.3019 0.7500
Hg2 Hg 0.3333 0.6667 0.0000
```


This entry pairs a crystal structure of LaNd4Te5 with its theoretical X-ray powder pattern. Radiation: Cu Kα. Structure: DFT lattice parameters and positions (PBE).
Kinematic intensities with the Lorentz-polarization factor, no thermal factor.

Peak list (12 most intense, 2θ = 15–90°, sorted by position)
| 2θ/deg | I (rel.) |
| --- | --- |
| 27.86 | 44 |
| 27.97 | 87 |
| 39.91 | 100 |
| 49.42 | 36 |
| 57.56 | 5 |
| 57.80 | 11 |
| 65.19 | 15 |
| 65.38 | 31 |
| 72.37 | 11 |
| 72.53 | 23 |
| 86.03 | 7 |
| 86.23 | 4 |

Cell and atoms:
```
data_LaNd4Te5
_chemical_formula_sum 'La2 Nd8 Te10'
_cell_length_a 4.512
_cell_length_b 4.512
_cell_length_c 32.023
_cell_angle_alpha 90.00
_cell_angle_beta 90.00
_cell_angle_gamma 90.00
_space_group_name_H-M_alt 'I 4/m m m'
_space_group_IT_number 139
_space_group_name_Hall '-I 4 2'
loop_
_atom_site_label
_atom_site_type_symbol
_atom_site_fract_x
_atom_site_fract_y
_atom_site_fract_z
La1 La 0.000 0.000 0.000
Nd1 Nd 0.000 0.000 0.198
Nd2 Nd 0.000 0.000 0.398
Te1 Te 0.000 0.000 0.100
Te2 Te 0.000 0.000 0.298
Te3 Te 0.000 0.000 0.500
```


This entry pairs a crystal structure of RbReBr6 with its theoretical X-ray powder pattern. Radiation: Cu Kα. Structure: DFT lattice parameters and positions (PBE).
Kinematic intensities with the Lorentz-polarization factor, no thermal factor.

Peak list (12 most intense, 2θ = 15–90°, sorted by position)
| 2θ/deg | I (rel.) |
| --- | --- |
| 17.25 | 100 |
| 21.32 | 51 |
| 26.89 | 27 |
| 30.14 | 54 |
| 32.65 | 84 |
| 32.99 | 34 |
| 33.24 | 14 |
| 34.88 | 15 |
| 37.09 | 22 |
| 45.23 | 17 |
| 49.38 | 33 |
| 57.84 | 17 |

Cell and atoms:
```
data_RbReBr6
_chemical_formula_sum 'Rb2 Re2 Br12'
_cell_length_a 9.000
_cell_length_b 10.299
_cell_length_c 6.569
_cell_angle_alpha 90.00
_cell_angle_beta 105.64
_cell_angle_gamma 90.00
_space_group_name_H-M_alt 'C 1 2/m 1'
_space_group_IT_number 12
loop_
_space_group_symop_operation_xyz
'x,y,z'
'-x,-y,-z'
'-x,y,-z'
'x,-y,z'
'x+1/2,y+1/2,z'
'-x+1/2,-y+1/2,-z'
'-x+1/2,y+1/2,-z'
'x+1/2,-y+1/2,z'
loop_
_atom_site_label
_atom_site_type_symbol
_atom_site_fract_x
_atom_site_fract_y
_atom_site_fract_z
Rb1 Rb 0.000 0.000 0.000
Re1 Re 0.000 0.500 0.500
Br1 Br 0.163 0.500 0.251
Br2 Br 0.167 0.327 0.716
```


This entry pairs a crystal structure of PaPbO with its theoretical X-ray powder pattern. Radiation: Cu Kα. Structure: DFT lattice parameters and positions (PBE).
Kinematic intensities with the Lorentz-polarization factor, no thermal factor.

Peak list (12 most intense, 2θ = 15–90°, sorted by position)
| 2θ/deg | I (rel.) |
| --- | --- |
| 24.42 | 68 |
| 28.47 | 74 |
| 29.02 | 32 |
| 29.90 | 29 |
| 32.06 | 63 |
| 35.05 | 100 |
| 40.33 | 19 |
| 47.75 | 24 |
| 51.09 | 23 |
| 56.83 | 22 |
| 58.66 | 24 |
| 58.92 | 17 |

Cell and atoms:
```
data_PaPbO
_chemical_formula_sum 'Pa4 Pb4 O4'
_cell_length_a 6.154
_cell_length_b 3.810
_cell_length_c 12.533
_cell_angle_alpha 90.00
_cell_angle_beta 90.00
_cell_angle_gamma 90.00
_space_group_name_H-M_alt 'P n m a'
_space_group_IT_number 62
loop_
_space_group_symop_operation_xyz
'x,y,z'
'-x,-y,-z'
'-x+1/2,-y,z+1/2'
'x+1/2,y,-z+1/2'
'x+1/2,-y+1/2,-z+1/2'
'-x+1/2,y+1/2,z+1/2'
'-x,y+1/2,-z'
'x,-y+1/2,z'
loop_
_atom_site_label
_atom_site_type_symbol
_atom_site_fract_x
_atom_site_fract_y
_atom_site_fract_z
Pa1 Pa 0.247 0.250 0.030
Pb1 Pb 0.150 0.250 0.296
O1 O 0.081 0.750 0.058
```